Entry 1:
Structure and calculated powder diffraction line list of SmGaRh2 (a DFT-relaxed cell (GGA-PBE, the Materials Project); CuKα).
Lines closer than 0.1° are merged.

Cell and atoms:
```
SmGaRh2
1.0
6.5595 0.0000 0.0000
0.0000 6.5595 0.0000
0.0000 0.0000 6.5595
Sm Ga Rh
4 4 8
Direct
0.0000 0.0000 0.0000
0.0000 0.5000 0.5000
0.5000 0.0000 0.5000
0.5000 0.5000 0.0000
0.0000 0.0000 0.5000
0.0000 0.5000 0.0000
0.5000 0.0000 0.0000
0.5000 0.5000 0.5000
0.2500 0.2500 0.2500
0.2500 0.2500 0.7500
0.2500 0.7500 0.2500
0.2500 0.7500 0.7500
0.7500 0.2500 0.2500
0.7500 0.2500 0.7500
0.7500 0.7500 0.2500
0.7500 0.7500 0.7500
```

Top 7 peaks for 2θ from 10° to 80°, low angle first:
2theta, intensity
23.49, 8
38.83, 100
45.88, 4
56.08, 17
61.63, 2
70.31, 34
75.28, 1

=====

Entry 2:
Structure and calculated powder diffraction line list of Tb2Ga9Rh3 (a DFT-relaxed cell (GGA-PBE, the Materials Project); CuKα).
Lines closer than 0.1° are merged.

Cell and atoms:
```
Tb2Ga9Rh3
1.0
6.5529 -3.7911 0.0000
6.5529 3.7911 0.0000
0.0000 0.0000 9.5450
Tb Ga Rh
4 18 6
Direct
0.0030 0.6677 0.7500
0.3323 0.9970 0.7500
0.6677 0.0030 0.2500
0.9970 0.3323 0.2500
0.0005 0.6662 0.0772
0.0005 0.6662 0.4228
0.1249 0.8751 0.2500
0.3342 0.6658 0.5614
0.3342 0.6658 0.9386
0.3338 0.9995 0.0772
0.3338 0.9995 0.4228
0.3373 0.4534 0.2500
0.4534 0.3373 0.7500
0.5466 0.6627 0.2500
0.6627 0.5466 0.7500
0.6662 0.0005 0.5772
0.6662 0.0005 0.9228
0.6658 0.3342 0.0614
0.6658 0.3342 0.4386
0.8751 0.1249 0.7500
0.9995 0.3338 0.5772
0.9995 0.3338 0.9228
0.0000 0.0000 0.0000
0.0000 0.0000 0.5000
0.3284 0.3284 0.0000
0.3284 0.3284 0.5000
0.6716 0.6716 0.0000
0.6716 0.6716 0.5000
```

Top 10 peaks for 2θ from 10° to 80°, low angle first:
2theta, intensity
30.12, 20
36.90, 100
37.48, 18
37.70, 20
41.02, 19
41.29, 88
56.56, 16
57.14, 16
63.42, 14
72.36, 22

=====

What did the second record say?
Structure and calculated powder diffraction line list of Tb2Ga9Rh3 (a DFT-relaxed cell (GGA-PBE, the Materials Project); CuKα).
Lines closer than 0.1° are merged.

Cell and atoms:
```
Tb2Ga9Rh3
1.0
6.5529 -3.7911 0.0000
6.5529 3.7911 0.0000
0.0000 0.0000 9.5450
Tb Ga Rh
4 18 6
Direct
0.0030 0.6677 0.7500
0.3323 0.9970 0.7500
0.6677 0.0030 0.2500
0.9970 0.3323 0.2500
0.0005 0.6662 0.0772
0.0005 0.6662 0.4228
0.1249 0.8751 0.2500
0.3342 0.6658 0.5614
0.3342 0.6658 0.9386
0.3338 0.9995 0.0772
0.3338 0.9995 0.4228
0.3373 0.4534 0.2500
0.4534 0.3373 0.7500
0.5466 0.6627 0.2500
0.6627 0.5466 0.7500
0.6662 0.0005 0.5772
0.6662 0.0005 0.9228
0.6658 0.3342 0.0614
0.6658 0.3342 0.4386
0.8751 0.1249 0.7500
0.9995 0.3338 0.5772
0.9995 0.3338 0.9228
0.0000 0.0000 0.0000
0.0000 0.0000 0.5000
0.3284 0.3284 0.0000
0.3284 0.3284 0.5000
0.6716 0.6716 0.0000
0.6716 0.6716 0.5000
```

Top 10 peaks for 2θ from 10° to 80°, low angle first:
2theta, intensity
30.12, 20
36.90, 100
37.48, 18
37.70, 20
41.02, 19
41.29, 88
56.56, 16
57.14, 16
63.42, 14
72.36, 22